Diffraction record for RbMoSe2. The powder diffractogram is calculated, not measured: it uses a DFT-relaxed cell (GGA-PBE, OQMD) and Cu Kα X-rays.
Peak positions follow from Bragg's law for the DFT cell and can differ from measured ones.

Largest 10 diffraction maxima, low angle first, 2θ from 10° to 80°:
two_theta	Rel. int.	index
14.40	53.4	0 2 0
14.90	57.8	1 1 0
25.37	56.3	1 3 0
25.83	63.2	1 1 1
28.65	100.0	2 2 -1
33.15	33.7	1 3 1
37.35	57.5	1 3 -2
45.77	27.9	3 3 0
48.00	30.1	1 5 -2
55.15	23.5	3 5 0

Structural model:
```
data_RbMoSe2
_space_group_name_H-M_alt 'C 1 2/c 1'
_space_group_IT_number 15
_space_group_name_Hall '-C 2yc'
_cell_length_a 7.4324
_cell_length_b 12.2988
_cell_length_c 5.9484
_cell_angle_alpha 90.00
_cell_angle_beta 113.92
_cell_angle_gamma 90.00
loop_
_atom_site_label
_atom_site_type_symbol
_atom_site_fract_x
_atom_site_fract_y
_atom_site_fract_z
Rb1 Rb 0.0000 0.1422 0.2500
Mo1 Mo 0.0000 0.4993 0.7500
Se1 Se 0.2009 0.3884 0.1040
```